# 1
Sb2SeS: simulated XRD peak list (Cu Kα (weighted mean of Kα1 and Kα2)), based on a cell relaxed with PBE.
Peak positions follow from Bragg's law for the DFT cell and can differ from measured ones.

Top 10 peaks for 10° ≤ 2θ ≤ 90°, sorted by position:
two_theta  I_rel  hkl
18.5  100.0  0 1 1
19.1  33.3  0 2 0
22.4  20.0  2 0 1
24.4  94.4  2 1 1
29.9  23.5  1 3 0
35.8  41.4  2 0 2
36.8  17.5  2 3 1
37.5  33.4  4 2 0
40.9  34.5  2 2 2
46.6  17.8  4 3 1

Structure:
Cell lengths 11.207, 9.306, 5.608 Å; angles 90.00, 90.00, 90.00 degrees
Space group Pna2_1 (No. 33)
Inequivalent atoms, fractional coordinates:
Sb 0.015 0.208 0.000 x4
Sb 0.222 0.194 0.697 x4
Se 0.137 0.437 0.877 x4
S 0.047 0.146 0.429 x4

# 2
NdDy5Y5: simulated XRD peak list (Cu Kα (weighted mean of Kα1 and Kα2)), based on a cell relaxed with PBE.
Peak positions follow from Bragg's law for the DFT cell and can differ from measured ones.

Top 10 peaks for 10° ≤ 2θ ≤ 90°, sorted by position:
two_theta  I_rel  hkl
28.5  100.0  1 0 3
29.3  88.0  1 1 0
30.3  26.5  1 1 1
34.9  19.3  2 0 1
35.2  24.3  1 0 4
37.5  23.9  1 1 3
41.4  16.8  2 0 3
51.5  38.6  2 1 3
52.0  17.9  3 0 0
60.9  20.1  2 2 0

Structure:
Cell lengths 6.0887, 6.0887, 11.6679 Å; angles 90.00, 90.00, 120.00 degrees
Space group P-6m2 (No. 187)
Inequivalent atoms, fractional coordinates:
Nd 0.0000 0.0000 0.0000 x1
Dy 0.0000 0.0000 0.3222 x2
Dy 0.3333 0.6667 0.1564 x2
Dy 0.6667 0.3333 0.0000 x1
Y 0.0014 0.5007 0.5000 x3
Y 0.6667 0.3333 0.2618 x2

# 3
Ac2ScSnAu6: simulated XRD peak list (Cu Kα (weighted mean of Kα1 and Kα2)), based on a cell relaxed with PBE.
Peak positions follow from Bragg's law for the DFT cell and can differ from measured ones.

Top 10 peaks for 10° ≤ 2θ ≤ 90°, sorted by position:
two_theta  I_rel  hkl
24.1  5.3  2 2 0
29.7  100.0  2 2 2
34.4  77.4  4 0 0
42.5  2.4  4 2 2
49.4  56.5  4 4 0
58.7  45.3  6 2 2
61.6  19.6  4 4 4
72.5  9.2  8 0 0
80.2  19.0  6 6 2
82.8  26.5  8 4 0

Structure:
Cell lengths 10.429, 10.429, 10.429 Å; angles 90.00, 90.00, 90.00 degrees
Space group Fm-3m (No. 225)
Inequivalent atoms, fractional coordinates:
Ac 0.250 0.250 0.250 x8
Sc 0.000 0.000 0.000 x4
Sn 0.000 0.000 0.500 x4
Au 0.000 0.000 0.248 x24

# 4
PrFeBr: simulated XRD peak list (Cu Kα (weighted mean of Kα1 and Kα2)), based on a cell relaxed with PBE.
Peak positions follow from Bragg's law for the DFT cell and can differ from measured ones.

Top 10 peaks for 10° ≤ 2θ ≤ 90°, sorted by position:
two_theta  I_rel  hkl
25.8  42.6  1 0 1
31.2  100.0  1 0 7
32.7  44.1  0 1 8
36.1  20.5  1 0 10
38.0  44.6  0 1 11
45.2  53.1  1 1 0
55.9  23.7  0 2 7
60.5  19.7  2 0 11
66.4  30.0  1 1 18
74.6  23.0  2 1 7

Structure:
Cell lengths 4.0139, 4.0139, 35.5335 Å; angles 90.00, 90.00, 120.00 degrees
Space group R-3m (No. 166, hexagonal axes)
Inequivalent atoms, fractional coordinates:
Pr 0.0000 0.0000 0.0581 x6
Fe 0.0000 0.0000 0.3345 x6
Br 0.0000 0.0000 0.2191 x6

Question: Which formula does entry 3 have?
Answer: Ac2ScSnAu6

Repeat the fourth record exactly.
PrFeBr: simulated XRD peak list (Cu Kα (weighted mean of Kα1 and Kα2)), based on a cell relaxed with PBE.
Peak positions follow from Bragg's law for the DFT cell and can differ from measured ones.

Top 10 peaks for 10° ≤ 2θ ≤ 90°, sorted by position:
two_theta  I_rel  hkl
25.8  42.6  1 0 1
31.2  100.0  1 0 7
32.7  44.1  0 1 8
36.1  20.5  1 0 10
38.0  44.6  0 1 11
45.2  53.1  1 1 0
55.9  23.7  0 2 7
60.5  19.7  2 0 11
66.4  30.0  1 1 18
74.6  23.0  2 1 7

Structure:
Cell lengths 4.0139, 4.0139, 35.5335 Å; angles 90.00, 90.00, 120.00 degrees
Space group R-3m (No. 166, hexagonal axes)
Inequivalent atoms, fractional coordinates:
Pr 0.0000 0.0000 0.0581 x6
Fe 0.0000 0.0000 0.3345 x6
Br 0.0000 0.0000 0.2191 x6